No. 1
Starting from the PBE geometry in Alexandria, the X-ray diffraction stick pattern of KAs2PH6 was calculated for Cu Kα (weighted mean of Kα1 and Kα2).

Main lines, by intensity (2θ from 15° to 90°):
(hkl)  2θ/deg  I/Imax
2 1 1  33.88  1000
0 2 0  23.69  899
0 0 2  28.48  635
0 2 2  37.37  476
0 1 1  18.44  383
0 4 0  48.55  290
1 1 0  18.32  274
2 1 3  53.97  251
1 3 1  41.36  176
3 2 1  51.76  162

Crystal structure
abc: 6.336 7.511 6.268
angles: 90.00 90.00 90.00
Space group Pnnm (No. 58)
One atom of each set of equivalent atoms:
K (0.000, 0.000, 0.000) [2 per cell]
As (0.189, 0.042, 0.500) [4 per cell]
P (0.000, 0.500, 0.500) [2 per cell]
H (0.155, 0.542, 0.318) [8 per cell]
H (0.248, 0.841, 0.500) [4 per cell]

No. 2
Starting from the PBE geometry in Alexandria, the X-ray diffraction stick pattern of K2As2HPd2 was calculated for Cu Kα (weighted mean of Kα1 and Kα2).

Main lines, by intensity (2θ from 15° to 90°):
(hkl)  2θ/deg  I/Imax
1 1 1  31.50  1000
0 0 1  15.28  966
3 1 -2  32.69  725
2 0 -3  35.58  665
3 1 0  38.60  599
0 2 0  40.86  531
5 1 -3  46.61  486
2 0 0  21.57  435
2 0 -1  15.89  423
2 2 -3  55.28  359

Crystal structure
abc: 11.170 4.417 7.859
angles: 90.00 132.46 90.00
Space group C2/m (No. 12)
One atom of each set of equivalent atoms:
K (0.080, 0.000, 0.357) [4 per cell]
As (0.147, 0.500, 0.085) [4 per cell]
H (0.000, 0.500, 0.500) [2 per cell]
Pd (0.204, 0.500, 0.824) [4 per cell]

No. 3
Starting from the PBE geometry in Alexandria, the X-ray diffraction stick pattern of KZnAsH was calculated for Cu Kα (weighted mean of Kα1 and Kα2).

Main lines, by intensity (2θ from 15° to 90°):
(hkl)  2θ/deg  I/Imax
0 1 1  29.14  1000
0 0 1  15.52  489
1 1 0  43.13  422
1 1 2  54.28  265
0 0 2  31.34  225
0 1 3  54.43  210
0 1 2  40.18  209
1 1 1  46.11  196
2 0 1  52.90  173
1 2 1  70.55  138

Crystal structure
abc: 4.1946 4.1946 5.7087
angles: 90.00 90.00 120.00
Space group P3m1 (No. 156)
One atom of each set of equivalent atoms:
K (0.0000, 0.0000, 0.0000) [1 per cell]
Zn (0.6667, 0.3333, 0.5407) [1 per cell]
As (0.3333, 0.6667, 0.4288) [1 per cell]
H (0.6667, 0.3333, 0.8299) [1 per cell]

No. 4
Starting from the PBE geometry in Alexandria, the X-ray diffraction stick pattern of La2As2H was calculated for Cu Kα (weighted mean of Kα1 and Kα2).

Main lines, by intensity (2θ from 15° to 90°):
(hkl)  2θ/deg  I/Imax
1 5 0  32.23  1000
1 3 2  39.40  600
1 3 1  29.26  577
2 0 0  40.82  445
0 4 1  24.90  430
1 1 1  25.54  355
0 0 2  29.88  333
1 5 2  44.52  265
0 8 1  43.29  258
0 2 2  31.56  199

Crystal structure
abc: 4.423 17.847 5.980
angles: 90.00 90.00 90.00
Space group Cmc2_1 (No. 36)
One atom of each set of equivalent atoms:
La (0.000, 0.085, 0.000) [4 per cell]
La (0.000, 0.327, 0.976) [4 per cell]
As (0.000, 0.293, 0.480) [4 per cell]
As (0.000, 0.496, 0.232) [4 per cell]
H (0.000, 0.122, 0.383) [4 per cell]

No. 5
Starting from the PBE geometry in Alexandria, the X-ray diffraction stick pattern of LaAsH was calculated for Cu Kα (weighted mean of Kα1 and Kα2).

Main lines, by intensity (2θ from 15° to 90°):
(hkl)  2θ/deg  I/Imax
1 1 -1  30.08  1000
1 0 1  31.26  605
1 1 -2  37.25  460
0 1 2  36.65  344
1 2 1  51.73  291
0 2 0  40.14  285
0 1 1  24.98  258
2 0 -1  42.98  234
2 1 -3  57.73  182
2 2 -1  60.25  170

Crystal structure
abc: 4.209 4.493 6.221
angles: 90.00 109.82 90.00
Space group P2_1/m (No. 11)
One atom of each set of equivalent atoms:
La (0.146, 0.250, 0.293) [2 per cell]
As (0.439, 0.250, 0.877) [2 per cell]
H (0.249, 0.750, 0.498) [2 per cell]

Question: What is the formula in the second record?
Answer: K2As2HPd2